Starting from DFT lattice parameters and positions (GGA-PBE), the powder XRD pattern of Pm4ZnSi3 was calculated for copper Kα.

Structure:
```
data_Pm4ZnSi3
_chemical_formula_sum 'Pm4 Zn1 Si3'
_cell_length_a 4.0039
_cell_length_b 4.3663
_cell_length_c 11.0768
_cell_angle_alpha 90.00
_cell_angle_beta 90.00
_cell_angle_gamma 90.00
_space_group_name_H-M_alt 'P m m 2'
_space_group_IT_number 25
loop_
_space_group_symop_operation_xyz
'x,y,z'
'-x,-y,z'
'-x,y,z'
'x,-y,z'
loop_
_atom_site_label
_atom_site_type_symbol
_atom_site_fract_x
_atom_site_fract_y
_atom_site_fract_z
Pm1 Pm 0.0000 0.0000 0.0000
Pm2 Pm 0.0000 0.5000 0.4944
Pm3 Pm 0.5000 0.0000 0.7131
Pm4 Pm 0.5000 0.5000 0.2156
Zn1 Zn 0.0000 0.5000 0.7898
Si1 Si 0.0000 0.0000 0.2841
Si2 Si 0.5000 0.0000 0.4240
Si3 Si 0.5000 0.5000 0.9306
```

Top 12 peaks for 10° ≤ 2θ ≤ 80°, low angle first:
d (Å), 2theta, intensity, hkl
4.062, 21.88, 22.4, 0 1 1
3.245, 27.49, 52.7, 1 0 2
2.852, 31.37, 100.0, 1 1 1
2.819, 31.74, 56.4, 0 1 3
2.769, 32.33, 26.8, 0 0 4
2.305, 39.08, 35.4, 1 1 3
2.278, 39.57, 14.6, 1 0 4
2.183, 41.36, 23.7, 0 2 0
2.002, 45.30, 18.2, 2 0 0
1.811, 50.38, 20.4, 1 2 2
1.772, 51.59, 17.4, 1 1 5
1.632, 56.37, 22.0, 2 1 3